[1]
Diffraction record for Tl2Cu2SbO6. The PXRD pattern is computed, not measured: it uses the GGA-PBE geometry in Alexandria and Cu Kα.
Lines closer than 0.1° are merged.

The 6 most intense peaks (2θ from 15° to 90°), most intense first:
2θ (°)  intensity  hkl
30.26  100.0  1 1 0
31.40  96.5  0 1 5
54.47  43.6  1 2 5
44.16  35.3  2 0 5
53.75  20.1  3 0 0
72.02  17.4  3 1 5

Atomic structure:
```
data_Tl2Cu2SbO6
_chemical_formula_sum 'Tl6 Cu6 Sb3 O18'
_cell_length_a 5.9078
_cell_length_b 5.9078
_cell_length_c 17.1510
_cell_angle_alpha 90.00
_cell_angle_beta 90.00
_cell_angle_gamma 120.00
_symmetry_space_group_name_H-M 'R -3 m'
_symmetry_Int_Tables_number 166
_symmetry_space_group_name_Hall '-R 3 2"'
loop_
_atom_site_label
_atom_site_fract_x
_atom_site_fract_y
_atom_site_fract_z
_atom_site_occupancy
Tl1 0.0000 0.0000 0.2080 1
Cu1 0.0000 0.0000 0.3950 1
Sb1 0.0000 0.0000 0.0000 1
O1 0.0242 0.5121 0.7403 1
```

***

[2]
Diffraction record for RbNa5Be8O11. The PXRD pattern is computed, not measured: it uses the GGA-PBE geometry in Alexandria and Cu Kα.
Lines closer than 0.1° are merged.

The 6 most intense peaks (2θ from 15° to 90°), most intense first:
2θ (°)  intensity  hkl
35.83  100.0  1 2 4
42.24  52.7  1 4 0
37.45  39.9  2 0 2
22.29  39.6  0 2 0
40.04  39.1  2 1 -3
29.57  37.4  2 0 0

Atomic structure:
```
data_RbNa5Be8O11
_chemical_formula_sum 'Rb2 Na10 Be16 O22'
_cell_length_a 6.4863
_cell_length_b 9.5040
_cell_length_c 10.7853
_cell_angle_alpha 64.31
_cell_angle_beta 88.90
_cell_angle_gamma 70.35
_symmetry_space_group_name_H-M 'P -1'
_symmetry_Int_Tables_number 2
loop_
_symmetry_equiv_pos_as_xyz
'x,y,z'
'-x,-y,-z'
loop_
_atom_site_label
_atom_site_fract_x
_atom_site_fract_y
_atom_site_fract_z
_atom_site_occupancy
Rb1 0.2420 0.2409 0.0580 1
Na1 0.2332 0.7401 0.5365 1
Na2 0.2507 0.9445 0.9705 1
Na3 0.2544 0.4458 0.4837 1
Na4 0.3718 0.1408 0.3725 1
Na5 0.4087 0.6360 0.8557 1
Be1 0.0058 0.5910 0.7466 1
Be2 0.0519 0.9115 0.7237 1
Be3 0.1157 0.7862 0.2729 1
Be4 0.1648 0.2811 0.7588 1
Be5 0.2263 0.6138 0.1516 1
Be6 0.2829 0.1087 0.6477 1
Be7 0.4077 0.8448 0.2994 1
Be8 0.4591 0.3418 0.7844 1
O1 0.0190 0.7701 0.1398 1
O2 0.0304 0.7575 0.7185 1
O3 0.0653 0.2645 0.6248 1
O4 0.1417 0.9606 0.2484 1
O5 0.1958 0.4580 0.7222 1
O6 0.2108 0.4378 0.2087 1
O7 0.2826 0.9276 0.7164 1
O8 0.3755 0.6590 0.3342 1
O9 0.4258 0.1516 0.8201 1
O10 0.4335 0.6456 0.0879 1
O11 0.4810 0.1485 0.5725 1
```

***

[3]
Diffraction record for Y2ErTm3. The PXRD pattern is computed, not measured: it uses the GGA-PBE geometry in Alexandria and Cu Kα.
Lines closer than 0.1° are merged.

The 6 most intense peaks (2θ from 15° to 90°), most intense first:
2θ (°)  intensity  hkl
33.20  100.0  3 1 2
31.47  30.3  0 0 4
61.73  26.4  6 0 4
30.19  25.4  0 2 1
51.64  22.7  6 0 0
57.14  21.3  3 1 6

Atomic structure:
```
data_Y2ErTm3
_chemical_formula_sum 'Y8 Er4 Tm12'
_cell_length_a 10.6218
_cell_length_b 6.1314
_cell_length_c 11.3717
_cell_angle_alpha 90.00
_cell_angle_beta 90.00
_cell_angle_gamma 90.00
_symmetry_space_group_name_H-M 'C m c m'
_symmetry_Int_Tables_number 63
_symmetry_space_group_name_Hall '-C 2c 2'
loop_
_atom_site_label
_atom_site_fract_x
_atom_site_fract_y
_atom_site_fract_z
_atom_site_occupancy
Y1 0.1667 0.1665 0.2500 1
Er1 0.0000 0.3335 0.7500 1
Tm1 0.0000 0.0000 0.0000 1
Tm2 0.1659 0.5000 0.0000 1
```

***

[4]
Diffraction record for LaTm2In2Ag2. The PXRD pattern is computed, not measured: it uses the GGA-PBE geometry in Alexandria and Cu Kα.
Lines closer than 0.1° are merged.

The 6 most intense peaks (2θ from 15° to 90°), most intense first:
2θ (°)  intensity  hkl
36.72  100.0  1 1 0
31.72  92.9  1 0 7
34.39  28.4  0 1 8
49.29  26.7  0 2 7
63.01  25.2  2 1 7
66.13  17.3  3 0 0

Atomic structure:
```
data_LaTm2In2Ag2
_chemical_formula_sum 'La3 Tm6 In6 Ag6'
_cell_length_a 4.8950
_cell_length_b 4.8950
_cell_length_c 26.4581
_cell_angle_alpha 90.00
_cell_angle_beta 90.00
_cell_angle_gamma 120.00
_symmetry_space_group_name_H-M 'R -3 m'
_symmetry_Int_Tables_number 166
_symmetry_space_group_name_Hall '-R 3 2"'
loop_
_atom_site_label
_atom_site_fract_x
_atom_site_fract_y
_atom_site_fract_z
_atom_site_occupancy
La1 0.0000 0.0000 0.0000 1
Tm1 0.0000 0.0000 0.1324 1
In1 0.0000 0.0000 0.2574 1
Ag1 0.0000 0.0000 0.4307 1
```

***

[5]
Diffraction record for CsRe2OsSe4Cl3. The PXRD pattern is computed, not measured: it uses the GGA-PBE geometry in Alexandria and Cu Kα.
Lines closer than 0.1° are merged.

The 6 most intense peaks (2θ from 15° to 90°), most intense first:
2θ (°)  intensity  hkl
15.42  100.0  1 1 2
42.85  89.4  2 6 -4
37.49  85.8  2 6 2
48.72  42.0  2 8 3
17.54  35.1  2 0 0
27.57  33.8  1 5 1

Atomic structure:
```
data_CsRe2OsSe4Cl3
_chemical_formula_sum 'Cs8 Re16 Os8 Se32 Cl24'
_cell_length_a 10.1000
_cell_length_b 17.5358
_cell_length_c 15.2251
_cell_angle_alpha 90.00
_cell_angle_beta 90.33
_cell_angle_gamma 90.00
_symmetry_space_group_name_H-M 'C 1 c 1'
_symmetry_Int_Tables_number 9
loop_
_symmetry_equiv_pos_as_xyz
'x,y,z'
'x,-y,z+1/2'
'x+1/2,y+1/2,z'
'x+1/2,-y+1/2,z+1/2'
loop_
_atom_site_label
_atom_site_fract_x
_atom_site_fract_y
_atom_site_fract_z
_atom_site_occupancy
Cs1 0.0000 0.0005 0.0000 1
Cs2 0.0010 0.3335 0.7499 1
Re1 0.0745 0.4091 0.1799 1
Re2 0.1510 0.3328 0.3208 1
Re3 0.3489 0.1666 0.6790 1
Re4 0.4244 0.2419 0.8200 1
Os1 0.0765 0.2576 0.1782 1
Os2 0.4243 0.0905 0.8218 1
Se1 0.9997 0.3340 0.4531 1
Se2 0.0005 0.3329 0.0467 1
Se3 0.1438 0.1880 0.3170 1
Se4 0.1437 0.4773 0.3215 1
Se5 0.2117 0.1643 0.8199 1
Se6 0.2881 0.3332 0.1798 1
Se7 0.3530 0.0221 0.6830 1
Se8 0.3591 0.3114 0.6784 1
Cl1 0.1492 0.1688 0.5904 1
Cl2 0.1707 0.4901 0.5927 1
Cl3 0.1795 0.1598 0.0902 1
Cl4 0.3218 0.3405 0.9073 1
Cl5 0.3290 0.0098 0.4103 1
Cl6 0.3510 0.3303 0.4088 1
```

***

[6]
Diffraction record for NdAu2Br6. The PXRD pattern is computed, not measured: it uses the GGA-PBE geometry in Alexandria and Cu Kα.
Lines closer than 0.1° are merged.

The 6 most intense peaks (2θ from 15° to 90°), most intense first:
2θ (°)  intensity  hkl
24.64  100.0  0 0 2
24.14  79.4  4 0 0
42.83  75.6  1 3 -3
29.38  55.5  3 3 -1
29.00  42.9  2 0 2
38.27  41.3  4 4 -1

Atomic structure:
```
data_NdAu2Br6
_chemical_formula_sum 'Nd4 Au8 Br24'
_cell_length_a 14.8940
_cell_length_b 12.7309
_cell_length_c 7.3018
_cell_angle_alpha 90.00
_cell_angle_beta 98.07
_cell_angle_gamma 90.00
_symmetry_space_group_name_H-M 'C 1 2/c 1'
_symmetry_Int_Tables_number 15
loop_
_symmetry_equiv_pos_as_xyz
'x,y,z'
'-x,-y,-z'
'-x,y,-z+1/2'
'x,-y,z+1/2'
'x+1/2,y+1/2,z'
'-x+1/2,-y+1/2,-z'
'-x+1/2,y+1/2,-z+1/2'
'x+1/2,-y+1/2,z+1/2'
loop_
_atom_site_label
_atom_site_fract_x
_atom_site_fract_y
_atom_site_fract_z
_atom_site_occupancy
Nd1 0.0000 0.0966 0.2500 1
Au1 0.1059 0.4402 0.2624 1
Br1 0.1119 0.0639 0.6051 1
Br2 0.1130 0.3886 0.6081 1
Br3 0.1304 0.2505 0.1544 1
```